[1]
Starting from a structure optimized by DFT (GGA+U), the X-ray diffraction stick pattern of MgZn2Co4O8 was calculated for Cu Kα (weighted mean of Kα1 and Kα2).

Main lines, in order of falling intensity (10 to 90 degrees two-theta):
2theta	intensity	h k l
34.71	100.0	1 1 0
35.08	64.7	1 -2 2
41.90	62.7	2 0 -2
35.45	57.8	2 0 -1
63.21	56.2	4 -2 0
30.38	52.1	2 -1 0
34.03	51.8	0 0 2
59.21	40.5	0 2 -4

a = 5.8819 Å, b = 5.8881 Å, c = 6.2621 Å
α = 117.66°, β = 90.73°, γ = 119.42°
Space group P-1 (No. 2)
Asymmetric unit:
Mg1 0.0000 0.0000 0.0000
Zn1 0.1488 0.3097 0.4585
Co1 0.0000 0.5000 0.0000
Co2 0.5000 0.0000 0.0000
Co3 0.5000 0.0000 0.5000
Co4 0.5000 0.5000 0.0000
O1 0.2376 0.4895 0.2317
O2 0.2470 0.9910 0.2367
O3 0.2576 0.0078 0.7642
O4 0.2666 0.5513 0.8118

---

[2]
Starting from a structure optimized by DFT (GGA+U), the X-ray diffraction stick pattern of MgZn2Co4O8 was calculated for Cu Kα (weighted mean of Kα1 and Kα2).

Main lines, in order of falling intensity (10 to 90 degrees two-theta):
2theta	intensity	h k l
34.87	100.0	1 2 -2
32.72	61.9	1 0 1
33.20	59.9	1 0 -2
34.38	56.7	1 -2 0
34.48	37.1	1 -2 1
29.34	36.1	0 2 -1
30.10	32.0	2 0 -1
60.87	28.3	0 4 -2

a = 5.9381 Å, b = 6.0887 Å, c = 6.1681 Å
α = 118.52°, β = 117.68°, γ = 90.47°
Space group P1 (No. 1)
Asymmetric unit:
Mg1 0.0000 0.0000 0.0000
Zn1 0.1105 0.5606 0.1327
Zn2 0.7359 0.6852 0.4179
Co1 0.4068 0.6662 0.8069
Co2 0.4234 0.1252 0.8086
Co3 0.5020 0.2038 0.4415
Co4 0.9463 0.1939 0.4341
O1 0.1344 0.8566 0.7477
O2 0.1845 0.9464 0.3339
O3 0.1930 0.3719 0.3389
O4 0.2322 0.4219 0.8453
O5 0.6180 0.8415 0.7481
O6 0.6354 0.9027 0.2661
O7 0.6438 0.3207 0.2670
O8 0.7020 0.3931 0.8370